KLaSe2O8: computed X-ray powder pattern (Cu Kα X-rays), based on a crystal structure in the Materials Project, relaxed with PBE.
No peak broadening, texture or thermal motion is included.

Top 12 peaks for 2θ = 10–80°, low angle first:
3.781 Å, 23.5°, intensity 18.8; 3.552 Å, 25.1°, intensity 57.0; 3.338 Å, 26.7°, intensity 100.0; 3.215 Å, 27.7°, intensity 22.5; 3.142 Å, 28.4°, intensity 75.9; 3.123 Å, 28.6°, intensity 23.8; 2.818 Å, 31.8°, intensity 25.5; 2.144 Å, 42.2°, intensity 31.4; 2.031 Å, 44.6°, intensity 31.1; 1.902 Å, 47.8°, intensity 23.4; 1.891 Å, 48.1°, intensity 30.6; 1.728 Å, 53.0°, intensity 20.7

Cell and atoms:
Cell lengths 8.945, 7.562, 11.276 Å; angles 90.00, 91.63, 90.00 degrees
Fractional positions:
K (0.067, 0.152, 0.337)
K (0.067, 0.348, 0.837)
K (0.933, 0.652, 0.163)
K (0.933, 0.848, 0.663)
La (0.441, 0.662, 0.653)
La (0.441, 0.838, 0.153)
La (0.559, 0.162, 0.847)
La (0.559, 0.338, 0.347)
Se (0.216, 0.663, 0.411)
Se (0.216, 0.837, 0.911)
Se (0.306, 0.163, 0.606)
Se (0.306, 0.337, 0.106)
Se (0.694, 0.663, 0.894)
Se (0.694, 0.837, 0.394)
Se (0.784, 0.163, 0.089)
Se (0.784, 0.337, 0.589)
O (0.086, 0.520, 0.369)
O (0.086, 0.980, 0.869)
O (0.125, 0.132, 0.606)
O (0.125, 0.368, 0.106)
O (0.194, 0.747, 0.045)
O (0.194, 0.753, 0.545)
O (0.239, 0.681, 0.807)
O (0.239, 0.819, 0.307)
O (0.355, 0.162, 0.194)
O (0.355, 0.338, 0.694)
O (0.363, 0.185, 0.467)
O (0.363, 0.315, 0.967)
O (0.385, 0.564, 0.439)
O (0.385, 0.936, 0.939)
O (0.407, 0.001, 0.677)
O (0.407, 0.499, 0.177)
O (0.593, 0.501, 0.823)
O (0.593, 0.999, 0.323)
O (0.615, 0.064, 0.061)
O (0.615, 0.436, 0.561)
O (0.637, 0.685, 0.033)
O (0.637, 0.815, 0.533)
O (0.645, 0.662, 0.306)
O (0.645, 0.838, 0.806)
O (0.761, 0.181, 0.693)
O (0.761, 0.319, 0.193)
O (0.806, 0.247, 0.455)
O (0.806, 0.253, 0.955)
O (0.875, 0.632, 0.894)
O (0.875, 0.868, 0.394)
O (0.914, 0.020, 0.131)
O (0.914, 0.480, 0.631)

KLaSn2O6: computed X-ray powder pattern (Cu Kα X-rays), based on a crystal structure in the Materials Project, relaxed with PBE.
No peak broadening, texture or thermal motion is included.

Top 12 peaks for 2θ = 10–80°, low angle first:
4.733 Å, 18.7°, intensity 13.5; 4.099 Å, 21.7°, intensity 7.8; 2.898 Å, 30.9°, intensity 100.0; 2.472 Å, 36.3°, intensity 8.0; 2.049 Å, 44.2°, intensity 32.9; 1.881 Å, 48.4°, intensity 3.7; 1.833 Å, 49.7°, intensity 3.6; 1.673 Å, 54.9°, intensity 40.9; 1.578 Å, 58.5°, intensity 2.9; 1.449 Å, 64.3°, intensity 20.4; 1.386 Å, 67.6°, intensity 2.8; 1.296 Å, 73.0°, intensity 18.1

Cell and atoms:
Cell lengths 5.797, 5.797, 5.797 Å; angles 60.00, 60.00, 60.00 degrees
Fractional positions:
K (0.000, 0.000, 0.000)
La (0.500, 0.500, 0.500)
Sn (0.250, 0.250, 0.250)
Sn (0.750, 0.750, 0.750)
O (0.000, 0.000, 0.500)
O (0.000, 0.500, 0.000)
O (0.000, 0.500, 0.500)
O (0.500, 0.000, 0.000)
O (0.500, 0.000, 0.500)
O (0.500, 0.500, 0.000)

KLaZrSnO6: computed X-ray powder pattern (Cu Kα X-rays), based on a crystal structure in the Materials Project, relaxed with PBE.
No peak broadening, texture or thermal motion is included.

Top 12 peaks for 2θ = 10–80°, low angle first:
4.784 Å, 18.5°, intensity 16.8; 4.143 Å, 21.4°, intensity 4.9; 2.929 Å, 30.5°, intensity 100.0; 2.498 Å, 35.9°, intensity 10.1; 2.071 Å, 43.7°, intensity 34.0; 1.901 Å, 47.9°, intensity 4.7; 1.853 Å, 49.2°, intensity 2.0; 1.691 Å, 54.2°, intensity 40.2; 1.595 Å, 57.8°, intensity 3.7; 1.465 Å, 63.5°, intensity 20.7; 1.401 Å, 66.8°, intensity 3.7; 1.310 Å, 72.1°, intensity 17.5

Cell and atoms:
Cell lengths 5.859, 5.859, 5.859 Å; angles 60.00, 60.00, 60.00 degrees
Fractional positions:
K (0.000, 0.000, 0.000)
La (0.500, 0.500, 0.500)
Zr (0.250, 0.250, 0.250)
Sn (0.750, 0.750, 0.750)
O (0.502, 0.502, 0.998)
O (0.502, 0.998, 0.502)
O (0.502, 0.998, 0.998)
O (0.998, 0.502, 0.502)
O (0.998, 0.502, 0.998)
O (0.998, 0.998, 0.502)

KLaTa2O7: computed X-ray powder pattern (Cu Kα X-rays), based on a crystal structure in the Materials Project, relaxed with PBE.
No peak broadening, texture or thermal motion is included.

Top 12 peaks for 2θ = 10–80°, low angle first:
3.863 Å, 23.0°, intensity 24.0; 3.470 Å, 25.7°, intensity 42.4; 3.203 Å, 27.9°, intensity 100.0; 2.947 Å, 30.3°, intensity 79.4; 2.748 Å, 32.6°, intensity 97.6; 2.696 Å, 33.2°, intensity 30.0; 2.233 Å, 40.4°, intensity 24.1; 1.961 Å, 46.3°, intensity 23.6; 1.955 Å, 46.5°, intensity 23.4; 1.848 Å, 49.3°, intensity 47.1; 1.672 Å, 54.9°, intensity 30.4; 1.629 Å, 56.5°, intensity 28.8

Cell and atoms:
Cell lengths 3.909, 11.338, 11.338 Å; angles 19.92, 90.00, 90.00 degrees
Fractional positions:
K (0.000, 0.000, 0.000)
La (0.000, 0.764, 0.764)
Ta (0.500, 0.161, 0.161)
Ta (0.500, 0.368, 0.368)
O (0.000, 0.182, 0.182)
O (0.000, 0.349, 0.349)
O (0.500, 0.081, 0.081)
O (0.500, 0.266, 0.266)
O (0.500, 0.449, 0.449)
O (0.500, 0.681, 0.681)
O (0.500, 0.850, 0.850)

KLaTi4O12: computed X-ray powder pattern (Cu Kα X-rays), based on a crystal structure in the Materials Project, relaxed with PBE.
No peak broadening, texture or thermal motion is included.

Top 12 peaks for 2θ = 10–80°, low angle first:
7.876 Å, 11.2°, intensity 23.9; 5.502 Å, 16.1°, intensity 24.7; 4.510 Å, 19.7°, intensity 100.0; 3.488 Å, 25.5°, intensity 18.8; 2.767 Å, 32.3°, intensity 79.4; 2.751 Å, 32.6°, intensity 39.6; 2.369 Å, 38.0°, intensity 17.6; 2.348 Å, 38.3°, intensity 34.7; 1.969 Å, 46.1°, intensity 22.7; 1.945 Å, 46.7°, intensity 45.9; 1.591 Å, 58.0°, intensity 29.4; 1.384 Å, 67.7°, intensity 24.0

Cell and atoms:
Cell lengths 7.876, 5.502, 5.502 Å; angles 89.93, 90.00, 90.00 degrees
Fractional positions:
K (0.000, 0.000, 0.000)
La (0.500, 0.498, 0.498)
Ti (0.240, 0.499, 0.998)
Ti (0.240, 0.998, 0.499)
Ti (0.760, 0.499, 0.998)
Ti (0.760, 0.998, 0.499)
O (0.000, 0.004, 0.494)
O (0.000, 0.494, 0.004)
O (0.259, 0.746, 0.746)
O (0.265, 0.259, 0.739)
O (0.265, 0.739, 0.259)
O (0.272, 0.255, 0.255)
O (0.500, 0.505, 0.987)
O (0.500, 0.987, 0.505)
O (0.728, 0.255, 0.255)
O (0.735, 0.259, 0.739)
O (0.735, 0.739, 0.259)
O (0.741, 0.746, 0.746)

K2La2Ti3O10: computed X-ray powder pattern (Cu Kα X-rays), based on a crystal structure in the Materials Project, relaxed with PBE.
No peak broadening, texture or thermal motion is included.

Top 12 peaks for 2θ = 10–80°, low angle first:
7.514 Å, 11.8°, intensity 10.8; 3.878 Å, 22.9°, intensity 14.0; 3.278 Å, 27.2°, intensity 12.1; 2.891 Å, 30.9°, intensity 100.0; 2.766 Å, 32.4°, intensity 50.3; 2.421 Å, 37.1°, intensity 12.5; 2.227 Å, 40.5°, intensity 26.8; 2.147 Å, 42.1°, intensity 16.9; 1.956 Å, 46.4°, intensity 34.7; 1.696 Å, 54.1°, intensity 22.9; 1.620 Å, 56.8°, intensity 34.4; 1.446 Å, 64.4°, intensity 17.1

Cell and atoms:
Cell lengths 15.281, 15.281, 15.281 Å; angles 165.29, 165.29, 20.85 degrees
Fractional positions:
K (0.208, 0.208, 0.000)
K (0.792, 0.792, 0.000)
La (0.072, 0.072, 0.000)
La (0.928, 0.928, 0.000)
Ti (0.360, 0.360, 0.000)
Ti (0.500, 0.500, 0.000)
Ti (0.640, 0.640, 0.000)
O (0.000, 0.500, 0.500)
O (0.127, 0.627, 0.500)
O (0.301, 0.301, 0.000)
O (0.373, 0.873, 0.500)
O (0.436, 0.436, 0.000)
O (0.500, 0.000, 0.500)
O (0.564, 0.564, 0.000)
O (0.627, 0.127, 0.500)
O (0.699, 0.699, 0.000)
O (0.873, 0.373, 0.500)

KLaZr4O12: computed X-ray powder pattern (Cu Kα X-rays), based on a crystal structure in the Materials Project, relaxed with PBE.
No peak broadening, texture or thermal motion is included.

Top 12 peaks for 2θ = 10–80°, low angle first:
8.451 Å, 10.5°, intensity 12.1; 4.814 Å, 18.4°, intensity 49.9; 4.225 Å, 21.0°, intensity 17.8; 4.142 Å, 21.5°, intensity 35.9; 2.958 Å, 30.2°, intensity 100.0; 2.929 Å, 30.5°, intensity 49.6; 2.113 Å, 42.8°, intensity 19.5; 2.075 Å, 43.6°, intensity 19.0; 2.066 Å, 43.8°, intensity 20.0; 1.713 Å, 53.5°, intensity 23.0; 1.698 Å, 54.0°, intensity 22.1; 1.695 Å, 54.1°, intensity 20.3

Cell and atoms:
Cell lengths 8.451, 5.858, 5.858 Å; angles 90.25, 90.00, 90.00 degrees
Fractional positions:
K (0.000, 0.000, 0.000)
La (0.500, 0.513, 0.513)
Zr (0.242, 0.007, 0.502)
Zr (0.242, 0.502, 0.007)
Zr (0.758, 0.007, 0.502)
Zr (0.758, 0.502, 0.007)
O (0.000, 0.529, 0.994)
O (0.000, 0.994, 0.529)
O (0.237, 0.223, 0.223)
O (0.285, 0.285, 0.723)
O (0.285, 0.723, 0.285)
O (0.296, 0.749, 0.749)
O (0.500, 0.064, 0.479)
O (0.500, 0.479, 0.064)
O (0.704, 0.749, 0.749)
O (0.715, 0.285, 0.723)
O (0.715, 0.723, 0.285)
O (0.763, 0.223, 0.223)

K3LaP2S8: computed X-ray powder pattern (Cu Kα X-rays), based on a crystal structure in the Materials Project, relaxed with PBE.
No peak broadening, texture or thermal motion is included.

Top 12 peaks for 2θ = 10–80°, low angle first:
8.690 Å, 10.2°, intensity 83.0; 8.477 Å, 10.4°, intensity 100.0; 5.330 Å, 16.6°, intensity 18.0; 5.296 Å, 16.7°, intensity 28.1; 3.340 Å, 26.7°, intensity 36.0; 3.146 Å, 28.4°, intensity 52.1; 2.898 Å, 30.9°, intensity 19.5; 2.697 Å, 33.2°, intensity 18.4; 2.662 Å, 33.7°, intensity 23.5; 2.648 Å, 33.9°, intensity 34.7; 2.338 Å, 38.5°, intensity 21.4; 2.245 Å, 40.2°, intensity 27.1

Cell and atoms:
Cell lengths 9.292, 17.381, 9.711 Å; angles 90.00, 90.59, 90.00 degrees
Fractional positions:
K (0.121, 0.214, 0.128)
K (0.121, 0.286, 0.628)
K (0.231, 0.028, 0.512)
K (0.231, 0.472, 0.012)
K (0.371, 0.708, 0.882)
K (0.371, 0.792, 0.382)
K (0.629, 0.208, 0.618)
K (0.629, 0.292, 0.118)
K (0.769, 0.528, 0.988)
K (0.769, 0.972, 0.488)
K (0.879, 0.714, 0.372)
K (0.879, 0.786, 0.872)
La (0.273, 0.513, 0.473)
La (0.273, 0.987, 0.973)
La (0.727, 0.013, 0.027)
La (0.727, 0.487, 0.527)
P (0.024, 0.599, 0.719)
P (0.024, 0.901, 0.219)
P (0.496, 0.101, 0.243)
P (0.496, 0.399, 0.743)
P (0.504, 0.601, 0.257)
P (0.504, 0.899, 0.757)
P (0.976, 0.099, 0.781)
P (0.976, 0.401, 0.281)
S (0.038, 0.019, 0.181)
S (0.038, 0.481, 0.681)
S (0.063, 0.625, 0.919)
S (0.063, 0.875, 0.419)
S (0.165, 0.656, 0.593)
S (0.165, 0.844, 0.093)
S (0.184, 0.130, 0.831)
S (0.184, 0.370, 0.331)
S (0.288, 0.615, 0.224)
S (0.288, 0.885, 0.724)
S (0.379, 0.172, 0.363)
S (0.379, 0.328, 0.863)
S (0.451, 0.515, 0.751)
S (0.451, 0.985, 0.251)
S (0.464, 0.125, 0.035)
S (0.464, 0.375, 0.535)
S (0.536, 0.625, 0.465)
S (0.536, 0.875, 0.965)
S (0.549, 0.015, 0.749)
S (0.549, 0.485, 0.249)
S (0.621, 0.672, 0.137)
S (0.621, 0.828, 0.637)
S (0.712, 0.115, 0.276)
S (0.712, 0.385, 0.776)
S (0.816, 0.630, 0.669)
S (0.816, 0.870, 0.169)
S (0.835, 0.156, 0.907)
S (0.835, 0.344, 0.407)
S (0.937, 0.125, 0.581)
S (0.937, 0.375, 0.081)
S (0.962, 0.519, 0.319)
S (0.962, 0.981, 0.819)

What is the formula in the third record?
KLaZrSnO6